Record 1
This entry pairs a crystal structure of SrMg14Fe with its calculated PXRD pattern. Radiation: a wavelength of 1.5418 Å. Structure: DFT lattice parameters and positions (PBE).
Peak positions follow from Bragg's law for the DFT cell and can differ from measured ones.

Principal peaks in the range 2θ from 10° to 90°, sorted by position:
two_theta, d [Å], Rel. int.
16.04, 5.526, 216
23.59, 3.771, 147
32.40, 2.763, 273
34.78, 2.579, 228
36.90, 2.436, 1000
48.27, 1.885, 164
57.79, 1.595, 174
63.75, 1.460, 139
69.25, 1.357, 164
70.57, 1.335, 134

Lattice parameters (Å, degrees): 6.3814 6.3814 10.3163 90.00 90.00 120.00
Positions (direct):
Sr: 0.0000 0.0000 0.0000
Mg: 0.0131 0.5065 0.0000
Mg: 0.1619 0.3238 0.2795
Mg: 0.1619 0.3238 0.7205
Mg: 0.1619 0.8381 0.2795
Mg: 0.1619 0.8381 0.7205
Mg: 0.4935 0.5065 0.0000
Mg: 0.4935 0.9869 0.0000
Mg: 0.5060 0.0119 0.5000
Mg: 0.5060 0.4940 0.5000
Mg: 0.6667 0.3333 0.2378
Mg: 0.6667 0.3333 0.7622
Mg: 0.6762 0.8381 0.2795
Mg: 0.6762 0.8381 0.7205
Mg: 0.9881 0.4940 0.5000
Fe: 0.0000 0.0000 0.5000

***

Record 2
This entry pairs a crystal structure of SrMg14Fe with its calculated PXRD pattern. Radiation: a wavelength of 1.5418 Å. Structure: DFT lattice parameters and positions (PBE).
Peak positions follow from Bragg's law for the DFT cell and can differ from measured ones.

Principal peaks in the range 2θ from 10° to 90°, sorted by position:
two_theta, d [Å], Rel. int.
17.43, 5.088, 165
32.82, 2.728, 334
34.47, 2.602, 431
35.28, 2.544, 679
37.21, 2.416, 1000
48.34, 1.883, 212
55.89, 1.645, 199
63.56, 1.464, 180
67.34, 1.391, 195
71.49, 1.320, 158

Lattice parameters (Å, degrees): 10.4069 6.5996 6.5996 55.78 90.00 90.00
Positions (direct):
Sr: 0.0000 0.0000 0.0000
Mg: 0.0000 0.0070 0.4932
Mg: 0.0000 0.4932 0.0070
Mg: 0.2290 0.6404 0.6404
Mg: 0.2530 0.1558 0.6406
Mg: 0.2530 0.6406 0.1558
Mg: 0.2654 0.1545 0.1545
Mg: 0.5000 0.4915 0.4915
Mg: 0.5000 0.4929 0.9854
Mg: 0.5000 0.9854 0.4929
Mg: 0.5000 0.9860 0.9860
Mg: 0.7346 0.1545 0.1545
Mg: 0.7470 0.1558 0.6406
Mg: 0.7470 0.6406 0.1558
Mg: 0.7710 0.6404 0.6404
Fe: 0.0000 0.4725 0.4725

***

Record 3
This entry pairs a crystal structure of Mg14VFe with its calculated PXRD pattern. Radiation: a wavelength of 1.5418 Å. Structure: DFT lattice parameters and positions (PBE).
Peak positions follow from Bragg's law for the DFT cell and can differ from measured ones.

Principal peaks in the range 2θ from 10° to 90°, sorted by position:
two_theta, d [Å], Rel. int.
16.28, 5.444, 111
24.29, 3.664, 53
32.90, 2.722, 255
36.26, 2.477, 248
37.70, 2.386, 1000
49.77, 1.832, 150
58.75, 1.572, 168
66.19, 1.412, 173
71.03, 1.327, 182
71.94, 1.312, 131

Lattice parameters (Å, degrees): 6.2866 6.2866 9.9088 90.00 90.00 120.00
Positions (direct):
Mg: 0.0000 0.0000 0.2492
Mg: 0.0000 0.0000 0.7508
Mg: 0.0123 0.5061 0.2525
Mg: 0.0123 0.5061 0.7475
Mg: 0.3335 0.1668 0.5000
Mg: 0.3351 0.1675 0.0000
Mg: 0.4939 0.5061 0.2525
Mg: 0.4939 0.5061 0.7475
Mg: 0.4939 0.9877 0.2525
Mg: 0.4939 0.9877 0.7475
Mg: 0.8325 0.1675 0.0000
Mg: 0.8325 0.6649 0.0000
Mg: 0.8332 0.1668 0.5000
Mg: 0.8332 0.6665 0.5000
V: 0.3333 0.6667 0.0000
Fe: 0.3333 0.6667 0.5000

***

Record 4
This entry pairs a crystal structure of Mg14VFe with its calculated PXRD pattern. Radiation: a wavelength of 1.5418 Å. Structure: DFT lattice parameters and positions (PBE).
Peak positions follow from Bragg's law for the DFT cell and can differ from measured ones.

Principal peaks in the range 2θ from 10° to 90°, sorted by position:
two_theta, d [Å], Rel. int.
32.86, 2.726, 121
33.34, 2.687, 276
36.17, 2.483, 377
37.64, 2.390, 544
38.08, 2.363, 1000
50.01, 1.824, 161
58.97, 1.566, 174
66.31, 1.410, 160
71.17, 1.325, 180
72.94, 1.297, 137

Lattice parameters (Å, degrees): 9.9334 6.2656 6.2656 59.06 90.00 90.00
Positions (direct):
Mg: 0.0000 0.0000 0.0000
Mg: 0.0000 0.0031 0.5007
Mg: 0.0000 0.4989 0.4989
Mg: 0.0000 0.5007 0.0031
Mg: 0.2516 0.6629 0.6629
Mg: 0.2629 0.1595 0.1595
Mg: 0.2674 0.1664 0.6753
Mg: 0.2674 0.6753 0.1664
Mg: 0.5000 0.5033 0.9979
Mg: 0.5000 0.9979 0.5033
Mg: 0.7326 0.1664 0.6753
Mg: 0.7326 0.6753 0.1664
Mg: 0.7371 0.1595 0.1595
Mg: 0.7484 0.6629 0.6629
V: 0.5000 0.5050 0.5050
Fe: 0.5000 0.0035 0.0035

***

Record 5
This entry pairs a crystal structure of Mg6VFe with its calculated PXRD pattern. Radiation: a wavelength of 1.5418 Å. Structure: DFT lattice parameters and positions (PBE).
Peak positions follow from Bragg's law for the DFT cell and can differ from measured ones.

Principal peaks in the range 2θ from 10° to 90°, sorted by position:
two_theta, d [Å], Rel. int.
16.75, 5.294, 128
18.26, 4.859, 77
33.93, 2.642, 279
37.01, 2.429, 253
38.79, 2.322, 1000
51.07, 1.788, 162
60.64, 1.527, 105
67.87, 1.381, 171
73.21, 1.293, 114
74.48, 1.274, 91

Lattice parameters (Å, degrees): 4.8585 6.1086 6.1086 59.82 90.00 90.00
Positions (direct):
Mg: 0.0000 0.0000 0.0000
Mg: 0.0000 0.0145 0.5092
Mg: 0.0000 0.4957 0.4957
Mg: 0.0000 0.5092 0.0145
Mg: 0.5000 0.3445 0.8458
Mg: 0.5000 0.8458 0.3445
V: 0.5000 0.8446 0.8446
Fe: 0.5000 0.3425 0.3425

***

Record 6
This entry pairs a crystal structure of Mg6VFe with its calculated PXRD pattern. Radiation: a wavelength of 1.5418 Å. Structure: DFT lattice parameters and positions (PBE).
Peak positions follow from Bragg's law for the DFT cell and can differ from measured ones.

Principal peaks in the range 2θ from 10° to 90°, sorted by position:
two_theta, d [Å], Rel. int.
16.21, 5.469, 189
16.81, 5.275, 405
33.99, 2.637, 499
37.84, 2.378, 471
37.96, 2.370, 817
39.05, 2.306, 1000
51.77, 1.766, 281
69.14, 1.359, 166
72.49, 1.304, 156
74.67, 1.271, 299

Lattice parameters (Å, degrees): 4.7552 6.2429 6.2429 57.67 90.00 90.00
Positions (direct):
Mg: 0.0000 0.0000 0.0000
Mg: 0.0000 0.0127 0.4934
Mg: 0.0000 0.4934 0.0127
Mg: 0.5000 0.3515 0.8326
Mg: 0.5000 0.8326 0.3515
Mg: 0.5000 0.8395 0.8395
V: 0.5000 0.3628 0.3628
Fe: 0.0000 0.4755 0.4755

***

Record 7
This entry pairs a crystal structure of Mg6FeW with its calculated PXRD pattern. Radiation: a wavelength of 1.5418 Å. Structure: DFT lattice parameters and positions (PBE).
Peak positions follow from Bragg's law for the DFT cell and can differ from measured ones.

Principal peaks in the range 2θ from 10° to 90°, sorted by position:
two_theta, d [Å], Rel. int.
16.25, 5.453, 500
17.20, 5.155, 1000
25.06, 3.553, 230
25.70, 3.467, 334
34.80, 2.578, 676
38.19, 2.357, 560
38.43, 2.342, 298
39.92, 2.258, 616
42.39, 2.132, 208
52.81, 1.733, 235

Lattice parameters (Å, degrees): 4.6845 6.1882 6.1882 56.42 90.00 90.00
Positions (direct):
Mg: 0.0000 0.0000 0.0000
Mg: 0.0000 0.0170 0.4929
Mg: 0.0000 0.4929 0.0170
Mg: 0.5000 0.3547 0.8387
Mg: 0.5000 0.8387 0.3547
Mg: 0.5000 0.8442 0.8442
Fe: 0.0000 0.4758 0.4758
W: 0.5000 0.3654 0.3654

***

Record 8
This entry pairs a crystal structure of Mg6FeW with its calculated PXRD pattern. Radiation: a wavelength of 1.5418 Å. Structure: DFT lattice parameters and positions (PBE).
Peak positions follow from Bragg's law for the DFT cell and can differ from measured ones.

Principal peaks in the range 2θ from 10° to 90°, sorted by position:
two_theta, d [Å], Rel. int.
16.63, 5.331, 745
17.36, 5.109, 490
18.30, 4.848, 535
24.82, 3.587, 464
25.33, 3.517, 401
35.13, 2.554, 442
37.08, 2.424, 406
38.54, 2.336, 641
39.89, 2.260, 1000
52.01, 1.758, 285

Lattice parameters (Å, degrees): 4.8484 6.0738 6.0738 57.26 90.00 90.00
Positions (direct):
Mg: 0.0000 0.0000 0.0000
Mg: 0.0000 0.0117 0.5199
Mg: 0.0000 0.4959 0.4959
Mg: 0.0000 0.5199 0.0117
Mg: 0.5000 0.3505 0.8515
Mg: 0.5000 0.8515 0.3505
Fe: 0.5000 0.3477 0.3477
W: 0.5000 0.8525 0.8525

***

Record 9
This entry pairs a crystal structure of YMg14Fe with its calculated PXRD pattern. Radiation: a wavelength of 1.5418 Å. Structure: DFT lattice parameters and positions (PBE).
Peak positions follow from Bragg's law for the DFT cell and can differ from measured ones.

Principal peaks in the range 2θ from 10° to 90°, sorted by position:
two_theta, d [Å], Rel. int.
16.00, 5.539, 224
23.70, 3.754, 147
32.32, 2.770, 268
35.16, 2.553, 245
36.92, 2.434, 1000
48.50, 1.877, 162
57.65, 1.599, 171
64.24, 1.450, 169
69.35, 1.355, 181
70.45, 1.337, 135

Lattice parameters (Å, degrees): 6.3962 6.3962 10.2104 90.00 90.00 120.00
Positions (direct):
Y: 0.0000 0.0000 0.0000
Mg: 0.0115 0.5057 0.0000
Mg: 0.1624 0.3247 0.2643
Mg: 0.1624 0.3247 0.7357
Mg: 0.1624 0.8376 0.2643
Mg: 0.1624 0.8376 0.7357
Mg: 0.4943 0.5057 0.0000
Mg: 0.4943 0.9885 0.0000
Mg: 0.5022 0.0045 0.5000
Mg: 0.5022 0.4978 0.5000
Mg: 0.6667 0.3333 0.2426
Mg: 0.6667 0.3333 0.7574
Mg: 0.6753 0.8376 0.2643
Mg: 0.6753 0.8376 0.7357
Mg: 0.9955 0.4978 0.5000
Fe: 0.0000 0.0000 0.5000

***

Record 10
This entry pairs a crystal structure of YMg14Fe with its calculated PXRD pattern. Radiation: a wavelength of 1.5418 Å. Structure: DFT lattice parameters and positions (PBE).
Peak positions follow from Bragg's law for the DFT cell and can differ from measured ones.

Principal peaks in the range 2θ from 10° to 90°, sorted by position:
two_theta, d [Å], Rel. int.
17.94, 4.944, 182
33.19, 2.699, 353
35.14, 2.554, 422
36.34, 2.472, 674
37.70, 2.386, 1000
49.12, 1.855, 227
57.39, 1.606, 182
64.73, 1.440, 172
69.10, 1.359, 198
72.44, 1.305, 163

Lattice parameters (Å, degrees): 10.2162 6.4313 6.4313 57.07 90.00 90.00
Positions (direct):
Y: 0.0000 0.0000 0.0000
Mg: 0.0000 0.0130 0.4926
Mg: 0.0000 0.4926 0.0130
Mg: 0.2212 0.6381 0.6381
Mg: 0.2466 0.1583 0.6459
Mg: 0.2466 0.6459 0.1583
Mg: 0.2619 0.1521 0.1521
Mg: 0.5000 0.4905 0.4905
Mg: 0.5000 0.4938 0.9851
Mg: 0.5000 0.9851 0.4938
Mg: 0.5000 0.9860 0.9860
Mg: 0.7381 0.1521 0.1521
Mg: 0.7534 0.1583 0.6459
Mg: 0.7534 0.6459 0.1583
Mg: 0.7788 0.6381 0.6381
Fe: 0.0000 0.4828 0.4828

***

Record 11
This entry pairs a crystal structure of Mg14ZnFe with its calculated PXRD pattern. Radiation: a wavelength of 1.5418 Å. Structure: DFT lattice parameters and positions (PBE).
Peak positions follow from Bragg's law for the DFT cell and can differ from measured ones.

Principal peaks in the range 2θ from 10° to 90°, sorted by position:
two_theta, d [Å], Rel. int.
32.98, 2.716, 250
33.23, 2.696, 140
36.52, 2.461, 340
37.84, 2.378, 1000
38.05, 2.365, 463
50.02, 1.823, 144
59.21, 1.560, 163
66.60, 1.404, 149
71.61, 1.318, 163
72.16, 1.309, 126

Lattice parameters (Å, degrees): 9.8422 6.2421 6.2421 60.48 90.00 90.00
Positions (direct):
Mg: 0.0000 0.0000 0.0000
Mg: 0.0000 0.0058 0.5014
Mg: 0.0000 0.4992 0.4992
Mg: 0.0000 0.5014 0.0058
Mg: 0.2490 0.6687 0.6687
Mg: 0.2594 0.1641 0.1641
Mg: 0.2738 0.1681 0.6815
Mg: 0.2738 0.6815 0.1681
Mg: 0.5000 0.4919 0.9923
Mg: 0.5000 0.9923 0.4919
Mg: 0.7262 0.1681 0.6815
Mg: 0.7262 0.6815 0.1681
Mg: 0.7406 0.1641 0.1641
Mg: 0.7510 0.6687 0.6687
Zn: 0.5000 0.5051 0.5051
Fe: 0.5000 0.0051 0.0051

***

Record 12
This entry pairs a crystal structure of Mg6ZnFe with its calculated PXRD pattern. Radiation: a wavelength of 1.5418 Å. Structure: DFT lattice parameters and positions (PBE).
Peak positions follow from Bragg's law for the DFT cell and can differ from measured ones.

Principal peaks in the range 2θ from 10° to 90°, sorted by position:
two_theta, d [Å], Rel. int.
17.01, 5.212, 490
25.25, 3.527, 160
34.38, 2.609, 243
37.46, 2.401, 388
39.30, 2.292, 1000
39.48, 2.283, 483
51.75, 1.767, 144
61.83, 1.501, 153
68.81, 1.364, 173
74.58, 1.273, 168

Lattice parameters (Å, degrees): 4.8020 6.0025 6.0025 60.37 90.00 90.00
Positions (direct):
Mg: 0.0000 0.0000 0.0000
Mg: 0.0000 0.0238 0.4920
Mg: 0.0000 0.4920 0.0238
Mg: 0.5000 0.3347 0.8202
Mg: 0.5000 0.8202 0.3347
Mg: 0.5000 0.8302 0.8302
Zn: 0.0000 0.4870 0.4870
Fe: 0.5000 0.3309 0.3309

***

Q: What is the formula in the twelfth record?
A: Mg6ZnFe

***

What did the second record say?
This entry pairs a crystal structure of SrMg14Fe with its calculated PXRD pattern. Radiation: a wavelength of 1.5418 Å. Structure: DFT lattice parameters and positions (PBE).
Peak positions follow from Bragg's law for the DFT cell and can differ from measured ones.

Principal peaks in the range 2θ from 10° to 90°, sorted by position:
two_theta, d [Å], Rel. int.
17.43, 5.088, 165
32.82, 2.728, 334
34.47, 2.602, 431
35.28, 2.544, 679
37.21, 2.416, 1000
48.34, 1.883, 212
55.89, 1.645, 199
63.56, 1.464, 180
67.34, 1.391, 195
71.49, 1.320, 158

Lattice parameters (Å, degrees): 10.4069 6.5996 6.5996 55.78 90.00 90.00
Positions (direct):
Sr: 0.0000 0.0000 0.0000
Mg: 0.0000 0.0070 0.4932
Mg: 0.0000 0.4932 0.0070
Mg: 0.2290 0.6404 0.6404
Mg: 0.2530 0.1558 0.6406
Mg: 0.2530 0.6406 0.1558
Mg: 0.2654 0.1545 0.1545
Mg: 0.5000 0.4915 0.4915
Mg: 0.5000 0.4929 0.9854
Mg: 0.5000 0.9854 0.4929
Mg: 0.5000 0.9860 0.9860
Mg: 0.7346 0.1545 0.1545
Mg: 0.7470 0.1558 0.6406
Mg: 0.7470 0.6406 0.1558
Mg: 0.7710 0.6404 0.6404
Fe: 0.0000 0.4725 0.4725